[1]
Calculated powder diffractogram
Compound: Ho4Bi3Pb
Radiation: λ = 1.5418 Å (Cu Kα)
Structure: a GGA-PBE-relaxed structure
Intensities are scaled so that the largest is 100.

Crystal structure
abc: 6.301 6.301 6.301
angles: 90.00 90.00 90.00
Fractional positions:
Ho 0.000 0.000 0.000
Ho 0.000 0.500 0.500
Ho 0.500 0.000 0.500
Ho 0.500 0.500 0.000
Bi 0.000 0.000 0.500
Bi 0.000 0.500 0.000
Bi 0.500 0.000 0.000
Pb 0.500 0.500 0.500

Main lines, sorted by position (2θ = 10–90°):
2θ/deg, I_rel
24.47, 2
28.33, 100
40.49, 78
47.88, 1
50.15, 28
58.60, 13
64.45, 1
66.34, 37
73.65, 28
87.59, 9

[2]
Calculated powder diffractogram
Compound: Ho6Bi2Pb
Radiation: λ = 1.5418 Å (Cu Kα)
Structure: a GGA-PBE-relaxed structure
Intensities are scaled so that the largest is 100.

Crystal structure
abc: 6.348 8.317 12.185
angles: 90.00 120.89 90.00
Fractional positions:
Ho 0.063 0.211 0.448
Ho 0.063 0.289 0.948
Ho 0.318 0.653 0.455
Ho 0.318 0.847 0.955
Ho 0.370 0.043 0.225
Ho 0.370 0.457 0.725
Ho 0.630 0.543 0.275
Ho 0.630 0.957 0.775
Ho 0.682 0.153 0.045
Ho 0.682 0.347 0.545
Ho 0.937 0.711 0.052
Ho 0.937 0.789 0.552
Bi 0.133 0.111 0.737
Bi 0.133 0.389 0.237
Bi 0.867 0.611 0.763
Bi 0.867 0.889 0.263
Pb 0.500 0.000 0.500
Pb 0.500 0.500 0.000

Main lines, sorted by position (2θ = 10–90°):
2θ/deg, I_rel
26.97, 39
29.34, 26
30.80, 43
30.95, 29
31.08, 29
31.29, 100
34.30, 38
34.91, 29
35.33, 46
36.41, 40

[3]
Calculated powder diffractogram
Compound: Ho8Bi5Pb
Radiation: λ = 1.5418 Å (Cu Kα)
Structure: a GGA-PBE-relaxed structure
Intensities are scaled so that the largest is 100.

Crystal structure
abc: 8.103 8.103 8.103
angles: 109.48 109.48 109.46
Fractional positions:
Ho 0.023 0.625 0.747
Ho 0.229 0.481 0.105
Ho 0.375 0.122 0.398
Ho 0.375 0.123 0.895
Ho 0.519 0.625 0.748
Ho 0.724 0.977 0.602
Ho 0.877 0.771 0.252
Ho 0.878 0.276 0.253
Bi 0.000 0.000 0.000
Bi 0.124 0.249 0.626
Bi 0.503 0.876 0.125
Bi 0.623 0.497 0.374
Bi 0.751 0.377 0.875
Pb 0.250 0.750 0.500

Main lines, sorted by position (2θ = 10–90°):
2θ/deg, I_rel
30.20, 100
35.91, 68
43.24, 18
45.47, 13
47.61, 14
49.68, 19
61.05, 30
62.81, 11
64.54, 15
74.52, 19

[4]
Calculated powder diffractogram
Compound: Ho2BiPd9
Radiation: λ = 1.5418 Å (Cu Kα)
Structure: a GGA-PBE-relaxed structure
Intensities are scaled so that the largest is 100.

Crystal structure
abc: 4.120 4.120 12.358
angles: 90.00 90.00 90.00
Fractional positions:
Ho 0.000 0.000 0.163
Ho 0.000 0.000 0.837
Bi 0.000 0.000 0.500
Pd 0.000 0.500 0.000
Pd 0.000 0.500 0.333
Pd 0.000 0.500 0.667
Pd 0.500 0.000 0.000
Pd 0.500 0.000 0.333
Pd 0.500 0.000 0.667
Pd 0.500 0.500 0.169
Pd 0.500 0.500 0.500
Pd 0.500 0.500 0.831

Main lines, sorted by position (2θ = 10–90°):
2θ/deg, I_rel
21.57, 5
30.69, 5
37.83, 100
43.96, 49
49.47, 3
54.57, 2
63.92, 32
68.31, 1
76.73, 37
80.82, 11

[5]
Calculated powder diffractogram
Compound: Ho4Bi2Pd
Radiation: λ = 1.5418 Å (Cu Kα)
Structure: a GGA-PBE-relaxed structure
Intensities are scaled so that the largest is 100.

Crystal structure
abc: 6.914 6.589 8.793
angles: 90.00 101.97 90.00
Fractional positions:
Ho 0.159 0.009 0.291
Ho 0.159 0.491 0.291
Ho 0.307 0.250 0.939
Ho 0.328 0.750 0.664
Ho 0.672 0.250 0.336
Ho 0.693 0.750 0.061
Ho 0.841 0.509 0.709
Ho 0.841 0.991 0.709
Bi 0.179 0.750 0.976
Bi 0.442 0.250 0.615
Bi 0.558 0.750 0.385
Bi 0.821 0.250 0.024
Pd 0.040 0.250 0.550
Pd 0.960 0.750 0.450

Main lines, sorted by position (2θ = 10–90°):
2θ/deg, I_rel
27.07, 47
30.34, 95
31.22, 97
32.87, 100
33.03, 80
33.31, 44
34.13, 45
34.29, 74
35.20, 40
54.97, 51

[6]
Calculated powder diffractogram
Compound: HoBiPd14
Radiation: λ = 1.5418 Å (Cu Kα)
Structure: a GGA-PBE-relaxed structure
Intensities are scaled so that the largest is 100.

Crystal structure
abc: 5.753 5.753 7.951
angles: 90.00 90.00 90.00
Fractional positions:
Ho 0.000 0.000 0.000
Bi 0.500 0.500 0.000
Pd 0.000 0.000 0.500
Pd 0.000 0.500 0.000
Pd 0.000 0.500 0.500
Pd 0.249 0.249 0.258
Pd 0.249 0.249 0.742
Pd 0.249 0.751 0.258
Pd 0.249 0.751 0.742
Pd 0.500 0.000 0.000
Pd 0.500 0.000 0.500
Pd 0.500 0.500 0.500
Pd 0.751 0.249 0.258
Pd 0.751 0.249 0.742
Pd 0.751 0.751 0.258
Pd 0.751 0.751 0.742

Main lines, sorted by position (2θ = 10–90°):
2θ/deg, I_rel
24.58, 2
33.12, 2
38.64, 100
44.54, 33
45.64, 15
64.82, 11
65.68, 20
78.08, 25
79.66, 11
82.85, 11

[7]
Calculated powder diffractogram
Compound: Ho7Bi2Pd2
Radiation: λ = 1.5418 Å (Cu Kα)
Structure: a GGA-PBE-relaxed structure
Intensities are scaled so that the largest is 100.

Crystal structure
abc: 9.575 9.575 9.575
angles: 156.35 67.34 117.98
Fractional positions:
Ho 0.000 0.000 0.000
Ho 0.054 0.370 0.685
Ho 0.075 0.723 0.352
Ho 0.371 0.723 0.648
Ho 0.451 0.577 0.874
Ho 0.685 0.370 0.315
Ho 0.703 0.577 0.126
Bi 0.330 0.330 0.000
Bi 0.739 0.239 0.500
Pd 0.301 0.062 0.239
Pd 0.824 0.062 0.761

Main lines, sorted by position (2θ = 10–90°):
2θ/deg, I_rel
29.45, 17
29.62, 42
32.01, 66
33.31, 100
33.72, 55
35.62, 23
37.42, 25
46.28, 30
49.87, 22
57.37, 26

[8]
Calculated powder diffractogram
Compound: PmHo5Bi5
Radiation: λ = 1.5418 Å (Cu Kα)
Structure: a GGA-PBE-relaxed structure
Intensities are scaled so that the largest is 100.

Crystal structure
abc: 7.638 7.638 8.855
angles: 106.57 106.57 48.60
Fractional positions:
Pm 0.000 0.000 0.000
Ho 0.000 0.000 0.500
Ho 0.335 0.335 0.169
Ho 0.339 0.339 0.664
Ho 0.661 0.661 0.336
Ho 0.665 0.665 0.831
Bi 0.169 0.169 0.340
Bi 0.172 0.172 0.829
Bi 0.500 0.500 0.000
Bi 0.828 0.828 0.171
Bi 0.831 0.831 0.660

Main lines, sorted by position (2θ = 10–90°):
2θ/deg, I_rel
28.39, 87
28.50, 86
28.66, 84
40.70, 100
40.78, 66
40.95, 32
50.42, 36
50.58, 36
66.70, 40
67.02, 30

Please write out number 4 again, unchanged.
Calculated powder diffractogram
Compound: Ho2BiPd9
Radiation: λ = 1.5418 Å (Cu Kα)
Structure: a GGA-PBE-relaxed structure
Intensities are scaled so that the largest is 100.

Crystal structure
abc: 4.120 4.120 12.358
angles: 90.00 90.00 90.00
Fractional positions:
Ho 0.000 0.000 0.163
Ho 0.000 0.000 0.837
Bi 0.000 0.000 0.500
Pd 0.000 0.500 0.000
Pd 0.000 0.500 0.333
Pd 0.000 0.500 0.667
Pd 0.500 0.000 0.000
Pd 0.500 0.000 0.333
Pd 0.500 0.000 0.667
Pd 0.500 0.500 0.169
Pd 0.500 0.500 0.500
Pd 0.500 0.500 0.831

Main lines, sorted by position (2θ = 10–90°):
2θ/deg, I_rel
21.57, 5
30.69, 5
37.83, 100
43.96, 49
49.47, 3
54.57, 2
63.92, 32
68.31, 1
76.73, 37
80.82, 11